[1]
Diffraction record for NpN2O2. The PXRD pattern is calculated, not measured: it uses a structure optimized by DFT (GGA-PBE) and a wavelength of 1.5418 Å.
Lines closer than 0.1° are merged.

Peak list (10 most intense, 10 to 90 degrees two-theta, sorted by position)
19.5 deg, 4.543 Å, I 100
29.2 deg, 3.063 Å, I 60
29.7 deg, 3.011 Å, I 56
29.8 deg, 2.999 Å, I 27
31.7 deg, 2.818 Å, I 32
31.9 deg, 2.804 Å, I 61
37.3 deg, 2.411 Å, I 34
39.3 deg, 2.292 Å, I 24
44.5 deg, 2.037 Å, I 25
51.3 deg, 1.780 Å, I 28

Atomic structure:
```
NpN2O2
1.0
3.0815 -1.7808 0.0000
3.0815 1.7808 0.0000
-2.1468 0.0000 9.0857
Np N O
1 2 2
Direct
0.0000 0.0000 0.0000
0.4626 0.4626 0.4397
0.5374 0.5374 0.5603
0.2982 0.2982 0.8990
0.7018 0.7018 0.1010
```

=====

[2]
Diffraction record for LiPmSmSe3. The PXRD pattern is calculated, not measured: it uses a structure optimized by DFT (GGA-PBE) and a wavelength of 1.5418 Å.
Lines closer than 0.1° are merged.

Peak list (10 most intense, 10 to 90 degrees two-theta, sorted by position)
10.2 deg, 8.678 Å, I 28
20.5 deg, 4.339 Å, I 17
30.8 deg, 2.905 Å, I 47
31.0 deg, 2.888 Å, I 100
37.9 deg, 2.372 Å, I 14
39.8 deg, 2.264 Å, I 31
40.6 deg, 2.220 Å, I 22
42.2 deg, 2.143 Å, I 21
45.0 deg, 2.016 Å, I 19
55.6 deg, 1.654 Å, I 14

Atomic structure:
```
LiPmSmSe3
1.0
8.5742 0.0000 0.0000
0.0000 4.0311 0.0000
-1.8891 0.0000 8.6784
Li Pm Sm Se
2 2 2 6
Direct
0.0855 0.2500 0.0843
0.9145 0.7500 0.9157
0.1840 0.2500 0.7222
0.8160 0.7500 0.2778
0.3371 0.7500 0.3345
0.6629 0.2500 0.6655
0.0917 0.2500 0.3699
0.2160 0.7500 0.9933
0.4219 0.7500 0.6757
0.5781 0.2500 0.3243
0.7840 0.2500 0.0067
0.9083 0.7500 0.6301
```

=====

[3]
Diffraction record for Dy2Zr3Pt4. The PXRD pattern is calculated, not measured: it uses a structure optimized by DFT (GGA-PBE) and a wavelength of 1.5418 Å.
Lines closer than 0.1° are merged.

Peak list (10 most intense, 10 to 90 degrees two-theta, sorted by position)
24.3 deg, 3.663 Å, I 37
31.5 deg, 2.844 Å, I 37
32.4 deg, 2.767 Å, I 45
33.6 deg, 2.664 Å, I 33
34.5 deg, 2.603 Å, I 100
34.9 deg, 2.572 Å, I 80
36.8 deg, 2.441 Å, I 61
38.2 deg, 2.357 Å, I 91
40.9 deg, 2.208 Å, I 26
52.5 deg, 1.744 Å, I 29

Atomic structure:
```
Dy2Zr3Pt4
1.0
7.0489 0.0000 0.0000
0.0000 7.8187 0.0000
-2.5356 0.0000 6.9693
Dy Zr Pt
4 6 8
Direct
0.1931 0.1741 0.0698
0.1931 0.3259 0.5698
0.8069 0.6741 0.4302
0.8069 0.8259 0.9302
0.2509 0.6644 0.2528
0.2509 0.8356 0.7528
0.5000 0.0000 0.5000
0.5000 0.5000 0.0000
0.7491 0.1644 0.2472
0.7491 0.3356 0.7472
0.0873 0.5466 0.8592
0.0873 0.9534 0.3592
0.4975 0.1308 0.8692
0.4975 0.3692 0.3692
0.5025 0.6308 0.6308
0.5025 0.8692 0.1308
0.9127 0.0466 0.6408
0.9127 0.4534 0.1408
```

=====

[4]
Diffraction record for Ba3Hg2Pb2Au4. The PXRD pattern is calculated, not measured: it uses a structure optimized by DFT (GGA-PBE) and a wavelength of 1.5418 Å.
Lines closer than 0.1° are merged.

Peak list (10 most intense, 10 to 90 degrees two-theta, sorted by position)
20.4 deg, 4.347 Å, I 16
22.4 deg, 3.965 Å, I 22
26.5 deg, 3.357 Å, I 25
30.5 deg, 2.929 Å, I 79
35.8 deg, 2.510 Å, I 100
42.6 deg, 2.121 Å, I 26
47.7 deg, 1.906 Å, I 23
54.6 deg, 1.682 Å, I 28
61.1 deg, 1.518 Å, I 22
64.3 deg, 1.449 Å, I 19

Atomic structure:
```
Ba3Hg2Pb2Au4
1.0
5.0193 0.0000 0.0000
-2.5096 4.3468 0.0000
0.0000 0.0000 15.8588
Ba Hg Pb Au
3 2 2 4
Direct
0.0000 0.0000 0.0000
0.0000 0.0000 0.2681
0.0000 0.0000 0.7319
0.3333 0.6667 0.1346
0.6667 0.3333 0.8654
0.3333 0.6667 0.5741
0.6667 0.3333 0.4259
0.3333 0.6667 0.3891
0.3333 0.6667 0.8711
0.6667 0.3333 0.1289
0.6667 0.3333 0.6109
```

=====

[5]
Diffraction record for CdBPt3. The PXRD pattern is calculated, not measured: it uses a structure optimized by DFT (GGA-PBE) and a wavelength of 1.5418 Å.
Lines closer than 0.1° are merged.

Peak list (10 most intense, 10 to 90 degrees two-theta, sorted by position)
32.9 deg, 2.721 Å, I 92
36.6 deg, 2.454 Å, I 60
36.7 deg, 2.446 Å, I 100
38.0 deg, 2.370 Å, I 38
42.8 deg, 2.113 Å, I 46
45.9 deg, 1.976 Å, I 71
46.1 deg, 1.968 Å, I 39
65.2 deg, 1.431 Å, I 28
74.8 deg, 1.269 Å, I 27
75.2 deg, 1.264 Å, I 33

Atomic structure:
```
CdBPt3
1.0
4.9592 -2.8563 0.0000
4.9592 2.8563 0.0000
-3.2678 0.0000 5.4415
Cd B Pt
2 2 6
Direct
0.0959 0.0959 0.3008
0.9041 0.9041 0.6992
0.3324 0.3324 0.9938
0.6676 0.6676 0.0062
0.0880 0.5801 0.2614
0.4170 0.4170 0.7364
0.4199 0.9120 0.7386
0.5801 0.0880 0.2614
0.5830 0.5830 0.2636
0.9120 0.4199 0.7386
```

=====

[6]
Diffraction record for CePd12Pt6. The PXRD pattern is calculated, not measured: it uses a structure optimized by DFT (GGA-PBE) and a wavelength of 1.5418 Å.
Lines closer than 0.1° are merged.

Peak list (10 most intense, 10 to 90 degrees two-theta, sorted by position)
20.4 deg, 4.344 Å, I 18
32.6 deg, 2.748 Å, I 10
38.8 deg, 2.322 Å, I 100
41.6 deg, 2.172 Å, I 18
44.2 deg, 2.048 Å, I 22
53.8 deg, 1.704 Å, I 13
64.3 deg, 1.448 Å, I 16
66.3 deg, 1.410 Å, I 15
70.2 deg, 1.341 Å, I 10
88.6 deg, 1.103 Å, I 14

Atomic structure:
```
CePd12Pt6
1.0
-4.3444 4.3444 4.3444
4.3444 -4.3444 4.3444
4.3444 4.3444 -4.3444
Ce Pd Pt
1 12 6
Direct
0.0000 0.0000 0.0000
0.0840 0.8219 0.2621
0.1781 0.2621 0.4403
0.1781 0.7379 0.9160
0.2621 0.0840 0.8219
0.2621 0.4403 0.1781
0.4403 0.1781 0.2621
0.5597 0.8219 0.7379
0.7379 0.5597 0.8219
0.7379 0.9160 0.1781
0.8219 0.2621 0.0840
0.8219 0.7379 0.5597
0.9160 0.1781 0.7379
0.1453 0.6453 0.5000
0.3547 0.5000 0.8547
0.5000 0.1453 0.6453
0.5000 0.8547 0.3547
0.6453 0.5000 0.1453
0.8547 0.3547 0.5000
```

=====

[7]
Diffraction record for HgBRh3. The PXRD pattern is calculated, not measured: it uses a structure optimized by DFT (GGA-PBE) and a wavelength of 1.5418 Å.
Lines closer than 0.1° are merged.

Peak list (10 most intense, 10 to 90 degrees two-theta, sorted by position)
34.3 deg, 2.613 Å, I 53
37.2 deg, 2.417 Å, I 100
38.6 deg, 2.335 Å, I 22
43.6 deg, 2.075 Å, I 39
47.1 deg, 1.928 Å, I 68
55.6 deg, 1.652 Å, I 20
66.2 deg, 1.412 Å, I 27
71.5 deg, 1.320 Å, I 14
76.7 deg, 1.242 Å, I 31
77.5 deg, 1.231 Å, I 16

Atomic structure:
```
HgBRh3
1.0
2.8242 1.6305 5.2256
-2.8242 1.6305 5.2256
0.0000 -3.2611 5.2256
Hg B Rh
2 2 6
Direct
0.0935 0.0935 0.0935
0.9065 0.9065 0.9065
0.3312 0.3312 0.3312
0.6688 0.6688 0.6688
0.0959 0.5851 0.5851
0.4149 0.4149 0.9041
0.4149 0.9041 0.4149
0.5851 0.0959 0.5851
0.5851 0.5851 0.0959
0.9041 0.4149 0.4149
```

=====

[8]
Diffraction record for Cd3O2F2. The PXRD pattern is calculated, not measured: it uses a structure optimized by DFT (GGA-PBE) and a wavelength of 1.5418 Å.
Lines closer than 0.1° are merged.

Peak list (10 most intense, 10 to 90 degrees two-theta, sorted by position)
26.7 deg, 3.340 Å, I 33
28.6 deg, 3.122 Å, I 43
30.2 deg, 2.962 Å, I 66
30.3 deg, 2.954 Å, I 100
31.2 deg, 2.866 Å, I 55
31.5 deg, 2.840 Å, I 19
33.3 deg, 2.690 Å, I 32
40.6 deg, 2.223 Å, I 19
49.5 deg, 1.842 Å, I 39
54.8 deg, 1.674 Å, I 19

Atomic structure:
```
Cd3O2F2
1.0
6.5260 -5.9284 0.0000
6.5260 5.9284 0.0000
-2.6271 0.0000 5.6801
Cd O F
12 8 8
Direct
0.0047 0.2211 0.0359
0.1326 0.5724 0.4133
0.2211 0.0047 0.5359
0.2929 0.4458 0.9294
0.4276 0.8674 0.0867
0.4458 0.2929 0.4294
0.5542 0.7071 0.5706
0.5724 0.1326 0.9133
0.7071 0.5542 0.0706
0.7789 0.9953 0.4641
0.8674 0.4276 0.5867
0.9953 0.7789 0.9641
0.1030 0.5827 0.7475
0.2245 0.3648 0.1861
0.3648 0.2245 0.6861
0.4173 0.8970 0.7525
0.5827 0.1030 0.2475
0.6352 0.7755 0.3139
0.7755 0.6352 0.8139
0.8970 0.4173 0.2525
0.0013 0.8358 0.3679
0.1642 0.9987 0.1321
0.2807 0.7193 0.2500
0.4523 0.5477 0.7500
0.5477 0.4523 0.2500
0.7193 0.2807 0.7500
0.8358 0.0013 0.8679
0.9987 0.1642 0.6321
```

=====

[9]
Diffraction record for RbIn4Pb2. The PXRD pattern is calculated, not measured: it uses a structure optimized by DFT (GGA-PBE) and a wavelength of 1.5418 Å.
Lines closer than 0.1° are merged.

Peak list (10 most intense, 10 to 90 degrees two-theta, sorted by position)
18.7 deg, 4.750 Å, I 24
25.2 deg, 3.533 Å, I 18
26.9 deg, 3.312 Å, I 100
29.3 deg, 3.049 Å, I 24
35.2 deg, 2.549 Å, I 35
36.7 deg, 2.450 Å, I 31
37.9 deg, 2.377 Å, I 18
38.1 deg, 2.359 Å, I 72
51.8 deg, 1.766 Å, I 23
58.3 deg, 1.584 Å, I 18

Atomic structure:
```
RbIn4Pb2
1.0
-2.4504 2.5487 9.5095
2.4504 -2.5487 9.5095
2.4504 2.5487 -9.5095
Rb In Pb
1 4 2
Direct
0.0000 0.0000 0.0000
0.3331 0.8331 0.5000
0.4214 0.4214 0.0000
0.5786 0.5786 0.0000
0.6669 0.1669 0.5000
0.1750 0.6750 0.5000
0.8250 0.3250 0.5000
```

=====

[10]
Diffraction record for Pr2HoMnN4. The PXRD pattern is calculated, not measured: it uses a structure optimized by DFT (GGA-PBE) and a wavelength of 1.5418 Å.
Lines closer than 0.1° are merged.

Peak list (10 most intense, 10 to 90 degrees two-theta, sorted by position)
26.6 deg, 3.352 Å, I 71
29.5 deg, 3.032 Å, I 42
29.8 deg, 2.999 Å, I 62
30.9 deg, 2.897 Å, I 88
35.3 deg, 2.545 Å, I 23
37.6 deg, 2.392 Å, I 100
42.4 deg, 2.132 Å, I 29
46.5 deg, 1.954 Å, I 34
60.7 deg, 1.527 Å, I 30
62.5 deg, 1.486 Å, I 24

Atomic structure:
```
Pr2HoMnN4
1.0
1.7147 -5.9976 0.0000
1.7147 5.9976 0.0000
0.0000 0.0000 12.1267
Pr Ho Mn N
4 2 2 8
Direct
0.1326 0.8674 0.5421
0.1326 0.8674 0.9579
0.8674 0.1326 0.0421
0.8674 0.1326 0.4579
0.3687 0.6313 0.7500
0.6313 0.3687 0.2500
0.3414 0.6586 0.2500
0.6586 0.3414 0.7500
0.0930 0.9070 0.7500
0.2265 0.7735 0.1425
0.2265 0.7735 0.3575
0.5000 0.5000 0.0000
0.5000 0.5000 0.5000
0.7735 0.2265 0.6425
0.7735 0.2265 0.8575
0.9070 0.0930 0.2500
```